La4Nd3Hg2: calculated powder diffraction line list (λ = 1.5418 Å (Cu Kα)), based on a GGA-PBE-relaxed structure.
Neutral-atom scattering factors, no anomalous dispersion.

Crystal structure
Lattice parameters (Å, degrees): 16.677 11.551 6.175 90.00 94.65 90.00
Space group C2/c (No. 15)
Unique sites:
La1 0.043 0.155 0.023 (multiplicity 8)
La2 0.203 0.379 0.904 (multiplicity 8)
Nd1 0.000 0.440 0.750 (multiplicity 4)
Nd2 0.169 0.109 0.560 (multiplicity 8)
Hg1 0.123 0.354 0.372 (multiplicity 8)

Peak list (10 most intense, 2θ from 10° to 90°, low angle first)
28.2°, rel. 23.5
30.1°, rel. 62.5
30.5°, rel. 59.0
31.0°, rel. 43.7
31.1°, rel. 100.0
35.7°, rel. 15.5
37.5°, rel. 24.3
37.8°, rel. 22.8
49.6°, rel. 10.8
50.0°, rel. 13.0